[1]
Simulated PXRD pattern of Rb3YO3 for λ = 1.5418 Å (Cu Kα), from a DFT-relaxed cell (GGA-PBE, the Materials Project).

Atomic structure:
a b c (Å): 8.0124 7.4006 11.7966
angles (deg): 90.00 93.91 90.00
Atoms (fractional coordinates):
Rb1 0.0695 0.1216 0.1557
Rb2 0.0695 0.3784 0.6557
Rb3 0.3580 0.1683 0.9206
Rb4 0.3580 0.3317 0.4206
Rb5 0.3754 0.6963 0.8079
Rb6 0.3754 0.8037 0.3079
Rb7 0.6246 0.1963 0.6921
Rb8 0.6246 0.3037 0.1921
Rb9 0.6420 0.6683 0.5794
Rb10 0.6420 0.8317 0.0794
Rb11 0.9305 0.6216 0.3443
Rb12 0.9305 0.8784 0.8443
Y1 0.1626 0.5897 0.0674
Y2 0.1626 0.9103 0.5674
Y3 0.8374 0.0897 0.4326
Y4 0.8374 0.4103 0.9326
O1 0.1072 0.0499 0.4031
O2 0.1072 0.4501 0.9031
O3 0.2546 0.6434 0.5435
O4 0.2546 0.8566 0.0435
O5 0.3115 0.0589 0.6901
O6 0.3115 0.4411 0.1901
O7 0.6885 0.5589 0.8099
O8 0.6885 0.9411 0.3099
O9 0.7454 0.1434 0.9565
O10 0.7454 0.3566 0.4565
O11 0.8928 0.5499 0.0969
O12 0.8928 0.9501 0.5969

Main lines, most intense first (2θ from 10° to 80°):
two_theta, I (rel.)
27.8, 100.0
32.8, 38.1
28.8, 35.0
27.4, 25.0
26.1, 17.4
49.2, 15.0
36.2, 13.0
26.5, 11.0
42.1, 10.9
34.7, 8.9
44.4, 8.9
42.6, 8.7

---

[2]
Simulated PXRD pattern of RbZnO3 for λ = 1.5418 Å (Cu Kα), from a DFT-relaxed cell (GGA-PBE, the Materials Project).

Atomic structure:
a b c (Å): 4.1641 4.1641 4.1641
angles (deg): 90.00 90.00 90.00
Atoms (fractional coordinates):
Rb1 0.0000 0.0000 0.0000
Zn1 0.5000 0.5000 0.5000
O1 0.0000 0.5000 0.5000
O2 0.5000 0.0000 0.5000
O3 0.5000 0.5000 0.0000

Main lines, most intense first (2θ from 10° to 80°):
two_theta, I (rel.)
30.4, 100.0
53.9, 39.5
43.5, 38.6
63.2, 22.8
71.7, 16.9
37.4, 7.7
79.8, 7.4
75.8, 2.0

---

[3]
Simulated PXRD pattern of Rb2ZnO2 for λ = 1.5418 Å (Cu Kα), from a DFT-relaxed cell (GGA-PBE, the Materials Project).

Atomic structure:
a b c (Å): 9.7342 6.4386 16.1496
angles (deg): 90.00 118.82 90.00
Atoms (fractional coordinates):
Rb1 0.0671 0.0663 0.1210
Rb2 0.0671 0.4337 0.6210
Rb3 0.1777 0.5820 0.2612
Rb4 0.1777 0.9180 0.7612
Rb5 0.3554 0.6757 0.5277
Rb6 0.3554 0.8243 0.0277
Rb7 0.4196 0.1300 0.6634
Rb8 0.4196 0.3700 0.1634
Rb9 0.5804 0.6300 0.8366
Rb10 0.5804 0.8700 0.3366
Rb11 0.6446 0.1757 0.9723
Rb12 0.6446 0.3243 0.4723
Rb13 0.8223 0.0820 0.2388
Rb14 0.8223 0.4180 0.7388
Rb15 0.9329 0.5663 0.3790
Rb16 0.9329 0.9337 0.8790
Zn1 0.0874 0.0530 0.4599
Zn2 0.0874 0.4470 0.9599
Zn3 0.2601 0.1273 0.3713
Zn4 0.2601 0.3727 0.8713
Zn5 0.7399 0.6273 0.1287
Zn6 0.7399 0.8727 0.6287
Zn7 0.9126 0.5530 0.0401
Zn8 0.9126 0.9470 0.5401
O1 0.1183 0.6013 0.8581
O2 0.1183 0.8987 0.3581
O3 0.1335 0.6331 0.0726
O4 0.1335 0.8669 0.5726
O5 0.2421 0.2212 0.9724
O6 0.2421 0.2788 0.4724
O7 0.3615 0.1954 0.3021
O8 0.3615 0.3046 0.8021
O9 0.6385 0.6954 0.1979
O10 0.6385 0.8046 0.6979
O11 0.7579 0.7212 0.5276
O12 0.7579 0.7788 0.0276
O13 0.8665 0.1331 0.4274
O14 0.8665 0.3669 0.9274
O15 0.8817 0.1013 0.6419
O16 0.8817 0.3987 0.1419

Main lines, most intense first (2θ from 10° to 80°):
two_theta, I (rel.)
29.2, 100.0
27.6, 42.8
32.4, 32.9
31.5, 29.1
26.1, 22.4
33.6, 22.2
29.7, 16.0
43.6, 12.5
37.3, 11.7
10.4, 11.6
28.8, 11.5
46.8, 10.4

---

[4]
Simulated PXRD pattern of Rb2ZrO3 for λ = 1.5418 Å (Cu Kα), from a DFT-relaxed cell (GGA-PBE, the Materials Project).

Atomic structure:
a b c (Å): 6.6246 6.6246 5.9734
angles (deg): 90.00 90.00 68.53
Atoms (fractional coordinates):
Rb1 0.0203 0.3061 0.0000
Rb2 0.3061 0.0203 0.5000
Rb3 0.6939 0.9797 0.0000
Rb4 0.9797 0.6939 0.5000
Zr1 0.4129 0.5871 0.9800
Zr2 0.5871 0.4129 0.4800
O1 0.1544 0.8456 0.9495
O2 0.3657 0.3863 0.2366
O3 0.3863 0.3657 0.7366
O4 0.6137 0.6343 0.2366
O5 0.6343 0.6137 0.7366
O6 0.8456 0.1544 0.4495

Main lines, most intense first (2θ from 10° to 80°):
two_theta, I (rel.)
31.1, 100.0
28.2, 93.0
40.9, 48.5
27.2, 43.0
29.9, 42.9
58.4, 35.4
46.7, 23.6
53.9, 18.8
52.1, 16.5
54.2, 16.5
59.3, 14.8
14.4, 13.8

---

[5]
Simulated PXRD pattern of Rb2ZrO3 for λ = 1.5418 Å (Cu Kα), from a DFT-relaxed cell (GGA-PBE, the Materials Project).

Atomic structure:
a b c (Å): 7.3501 7.3501 5.9571
angles (deg): 94.09 94.09 125.04
Atoms (fractional coordinates):
Rb1 0.0883 0.9117 0.5000
Rb2 0.2898 0.7752 0.9953
Rb3 0.7752 0.2898 0.4953
Rb4 0.9117 0.0883 0.0000
Zr1 0.4387 0.5390 0.4800
Zr2 0.5390 0.4387 0.9800
O1 0.2557 0.6558 0.4489
O2 0.2680 0.3354 0.7446
O3 0.3354 0.2680 0.2446
O4 0.6558 0.2557 0.9489
O5 0.6614 0.7083 0.2367
O6 0.7083 0.6614 0.7367

Main lines, most intense first (2θ from 10° to 80°):
two_theta, I (rel.)
29.9, 100.0
27.7, 90.2
26.6, 63.8
30.4, 44.3
37.4, 37.9
46.2, 29.1
51.0, 21.8
44.0, 20.6
50.0, 17.5
50.5, 16.7
55.0, 13.3
52.3, 13.1

---

[6]
Simulated PXRD pattern of Rb2ZrO3 for λ = 1.5418 Å (Cu Kα), from a DFT-relaxed cell (GGA-PBE, the Materials Project).

Atomic structure:
a b c (Å): 5.9898 11.0466 7.4129
angles (deg): 90.00 90.00 90.00
Atoms (fractional coordinates):
Rb1 0.2375 0.0863 0.1104
Rb2 0.2375 0.4137 0.1104
Rb3 0.2625 0.5863 0.6104
Rb4 0.2625 0.9137 0.6104
Rb5 0.7375 0.0863 0.3896
Rb6 0.7375 0.4137 0.3896
Rb7 0.7625 0.5863 0.8896
Rb8 0.7625 0.9137 0.8896
Zr1 0.2255 0.7500 0.1633
Zr2 0.2745 0.2500 0.6633
Zr3 0.7255 0.7500 0.3367
Zr4 0.7745 0.2500 0.8367
O1 0.0152 0.1271 0.7353
O2 0.0152 0.3729 0.7353
O3 0.1800 0.7500 0.9046
O4 0.3200 0.2500 0.4046
O5 0.4848 0.6271 0.2353
O6 0.4848 0.8729 0.2353
O7 0.5152 0.1271 0.7647
O8 0.5152 0.3729 0.7647
O9 0.6800 0.7500 0.5954
O10 0.8200 0.2500 0.0954
O11 0.9848 0.6271 0.2647
O12 0.9848 0.8729 0.2647

Main lines, most intense first (2θ from 10° to 80°):
two_theta, I (rel.)
31.0, 100.0
28.3, 95.1
40.7, 50.3
27.0, 46.7
29.8, 41.3
46.8, 26.2
58.0, 25.8
53.7, 16.8
52.0, 16.7
58.9, 15.1
14.4, 13.4
49.5, 13.4